No. 1
Simulated X-ray diffraction stick pattern
Compound: MgZnCd14
Radiation: CuKα
Structure: a structure optimized by DFT (GGA-PBE)
Kinematic intensities with the Lorentz-polarization factor, no thermal factor.

Structural model:
Cell: 10.8658 6.0046 10.8057 Å, 90.00 90.00 90.00°
Space group Amm2 (No. 38)
Inequivalent atoms, fractional coordinates:
Mg 0.0000 0.0000 0.0000 x2
Zn 0.0000 0.0000 0.4941 x2
Cd 0.0000 0.2491 0.7480 x4
Cd 0.2425 0.2484 0.4297 x8
Cd 0.2477 0.0000 0.1783 x4
Cd 0.2481 0.0000 0.6787 x4
Cd 0.5000 0.0000 0.3755 x2
Cd 0.5000 0.0000 0.8747 x2
Cd 0.5000 0.2499 0.1246 x4

Main lines, in order of rising 2θ (10° ≤ 2θ ≤ 80°):
- hkl 4 0 0, 2θ = 32.97°, I 48
- hkl 0 0 4, 2θ = 33.16°, I 16
- hkl 1 0 4, 2θ = 34.19°, I 23
- hkl 1 2 2, 2θ = 35.18°, I 18
- hkl 2 0 4, 2θ = 37.17°, I 19
- hkl 2 2 2, 2θ = 38.08°, I 100
- hkl 6 2 2, 2θ = 62.29°, I 22
- hkl 4 2 6, 2θ = 70.09°, I 14

***

No. 2
Simulated X-ray diffraction stick pattern
Compound: Mg17ZnCd11
Radiation: CuKα
Structure: a structure optimized by DFT (GGA-PBE)
Kinematic intensities with the Lorentz-polarization factor, no thermal factor.

Structural model:
Cell: 10.5568 16.2797 9.0807 Å, 90.00 125.37 90.00°
Space group Cm (No. 8)
Inequivalent atoms, fractional coordinates:
Mg 0.0000 0.0000 0.0000 x2
Mg 0.0101 0.3453 0.9620 x4
Mg 0.0242 0.3360 0.3553 x4
Mg 0.0367 0.0000 0.6319 x2
Mg 0.1508 0.2014 0.6695 x4
Mg 0.2584 0.5000 0.0899 x2
Mg 0.3128 0.3617 0.3599 x4
Mg 0.3406 0.2996 0.0498 x4
Mg 0.3539 0.0000 0.3551 x2
Mg 0.3644 0.0000 0.7194 x2
Mg 0.4103 0.3433 0.7602 x4
Zn 0.0342 0.5000 0.1574 x2
Cd 0.0827 0.0883 0.3595 x4
Cd 0.1361 0.4078 0.7425 x4
Cd 0.1668 0.1972 0.1632 x4
Cd 0.2231 0.5000 0.5299 x2
Cd 0.2540 0.0919 0.9790 x4
Cd 0.3647 0.1959 0.5573 x4

Main lines, in order of rising 2θ (10° ≤ 2θ ≤ 80°):
- hkl 1 3 0, 2θ = 19.34°, I 66
- hkl 2 2 -1, 2θ = 20.05°, I 50
- hkl 1 1 1, 2θ = 20.60°, I 100
- hkl 1 5 -2, 2θ = 34.08°, I 37
- hkl 1 3 -3, 2θ = 35.57°, I 59
- hkl 3 5 -2, 2θ = 38.14°, I 83
- hkl 3 1 1, 2θ = 40.14°, I 62
- hkl 3 1 -4, 2θ = 40.25°, I 42

***

No. 3
Simulated X-ray diffraction stick pattern
Compound: Mg8Zn2Cd3
Radiation: CuKα
Structure: a structure optimized by DFT (GGA-PBE)
Kinematic intensities with the Lorentz-polarization factor, no thermal factor.

Structural model:
Cell: 7.6426 15.5477 4.8450 Å, 90.00 90.00 90.00°
Space group Cmmm (No. 65)
Inequivalent atoms, fractional coordinates:
Mg 0.0000 0.1315 0.0000 x4
Mg 0.0000 0.3251 0.0000 x4
Mg 0.2128 0.3793 0.5000 x8
Zn 0.0000 0.2337 0.5000 x4
Cd 0.0000 0.0000 0.5000 x2
Cd 0.2000 0.5000 0.0000 x4

Main lines, in order of rising 2θ (10° ≤ 2θ ≤ 80°):
- hkl 0 2 0, 2θ = 11.38°, I 39
- hkl 0 2 1, 2θ = 21.61°, I 28
- hkl 1 1 1, 2θ = 22.47°, I 33
- hkl 0 4 0, 2θ = 22.88°, I 25
- hkl 2 2 0, 2θ = 25.98°, I 25
- hkl 1 5 1, 2θ = 36.28°, I 37
- hkl 0 0 2, 2θ = 37.11°, I 37
- hkl 2 4 1, 2θ = 37.88°, I 100